Entry 1:
Diffraction record for Ac2NdWN4. The X-ray powder pattern is computed, not measured: it uses a cell relaxed with PBE and Cu Kα.
No peak broadening, texture or thermal motion is included.

Largest 10 diffraction maxima, by angle, 10° ≤ 2θ ≤ 90°:
2theta  Rel. int.
24.98  23
27.50  48
28.33  54
29.06  93
32.99  23
35.49  100
37.49  25
39.90  27
48.22  24
59.03  21

Cell lengths 3.631, 12.600, 12.972 Å; angles 90.00, 90.00, 90.00 degrees
Space group Cmcm (No. 63)
One atom of each set of equivalent atoms:
1 Ac 0.000 0.133 0.038 x8
2 Nd 0.000 0.385 0.250 x4
3 W 0.000 0.336 0.750 x4
4 N 0.000 0.094 0.250 x4
5 N 0.000 0.223 0.645 x8
6 N 0.000 0.500 0.000 x4

***

Entry 2:
Diffraction record for La3Sb2Br. The X-ray powder pattern is computed, not measured: it uses a cell relaxed with PBE and Cu Kα.
No peak broadening, texture or thermal motion is included.

Largest 10 diffraction maxima, by angle, 10° ≤ 2θ ≤ 90°:
2theta  Rel. int.
23.90  2
27.66  100
39.52  76
48.92  27
57.13  13
64.61  23
64.68  12
71.68  21
71.75  4
85.12  7

Cell lengths 9.118, 12.887, 27.396 Å; angles 90.00, 90.00, 90.00 degrees
Space group Fddd (No. 70, origin choice 2)
One atom of each set of equivalent atoms:
1 La 0.116 0.375 0.375 x16
2 La 0.120 0.371 0.207 x32
3 Sb 0.125 0.125 0.041 x16
4 Sb 0.125 0.125 0.376 x16
5 Br 0.125 0.125 0.542 x16

***

Entry 3:
Diffraction record for LiMgAl. The X-ray powder pattern is computed, not measured: it uses a cell relaxed with PBE and Cu Kα.
No peak broadening, texture or thermal motion is included.

Largest 10 diffraction maxima, by angle, 10° ≤ 2θ ≤ 90°:
2theta  Rel. int.
20.57  34
22.98  45
36.48  100
37.53  92
41.73  34
42.25  19
43.62  59
61.96  54
74.75  23
76.70  21

Cell lengths 2.995, 4.329, 8.634 Å; angles 90.00, 90.00, 90.00 degrees
Space group Imm2 (No. 44)
One atom of each set of equivalent atoms:
1 Li 0.000 0.000 0.000 x2
2 Mg 0.000 0.000 0.674 x2
3 Al 0.000 0.000 0.337 x2

***

Entry 4:
Diffraction record for Li5AlBi6. The X-ray powder pattern is computed, not measured: it uses a cell relaxed with PBE and Cu Kα.
No peak broadening, texture or thermal motion is included.

Largest 10 diffraction maxima, by angle, 10° ≤ 2θ ≤ 90°:
2theta  Rel. int.
24.18  100
24.96  46
34.46  49
35.03  94
43.02  46
55.86  21
56.25  21
57.40  20
62.06  19
62.15  18

Cell lengths 5.210, 15.600, 7.136 Å; angles 90.00, 90.05, 90.00 degrees
Space group C2/m (No. 12)
One atom of each set of equivalent atoms:
1 Li 0.000 0.000 0.000 x2
2 Li 0.000 0.329 0.500 x4
3 Li 0.000 0.335 0.000 x4
4 Al 0.000 0.000 0.500 x2
5 Bi 0.000 0.163 0.248 x8
6 Bi 0.000 0.500 0.252 x4

***

Entry 5:
Diffraction record for Pu6Pd3Ru. The X-ray powder pattern is computed, not measured: it uses a cell relaxed with PBE and Cu Kα.
No peak broadening, texture or thermal motion is included.

Largest 10 diffraction maxima, by angle, 10° ≤ 2θ ≤ 90°:
2theta  Rel. int.
13.44  38
19.24  31
34.34  20
37.14  100
37.68  24
38.75  39
41.09  23
41.97  22
62.05  19
65.70  28

Cell lengths 5.6879, 5.6879, 13.1792 Å; angles 90.00, 90.00, 120.00 degrees
Space group P6_322 (No. 182)
One atom of each set of equivalent atoms:
1 Pu 0.1356 0.3654 0.3355 x12
2 Pd 0.0000 0.0000 0.0000 x2
3 Pd 0.3333 0.6667 0.5421 x4
4 Ru 0.3333 0.6667 0.7500 x2

***

Entry 6:
Diffraction record for Er12Ga6Co. The X-ray powder pattern is computed, not measured: it uses a cell relaxed with PBE and Cu Kα.
No peak broadening, texture or thermal motion is included.

Largest 10 diffraction maxima, by angle, 10° ≤ 2θ ≤ 90°:
2theta  Rel. int.
22.89  24
24.53  22
26.42  100
28.40  21
31.47  46
33.35  66
37.55  80
37.87  80
54.40  27
55.16  21

Cell lengths 12.5708, 12.5708, 11.7810 Å; angles 90.00, 90.00, 120.00 degrees
Space group R-3 (No. 148, hexagonal axes)
One atom of each set of equivalent atoms:
1 Er 0.0364 0.8245 0.3946 x18
2 Er 0.0479 0.8516 0.8846 x18
3 Ga 0.0517 0.7807 0.6467 x18
4 Co 0.0000 0.0000 0.0000 x3

***

Entry 7:
Diffraction record for BeSeCl. The X-ray powder pattern is computed, not measured: it uses a cell relaxed with PBE and Cu Kα.
No peak broadening, texture or thermal motion is included.

Largest 10 diffraction maxima, by angle, 10° ≤ 2θ ≤ 90°:
2theta  Rel. int.
11.97  51
20.57  100
23.86  21
24.07  47
31.86  45
33.66  55
37.92  29
45.18  23
45.42  39
54.94  22

Cell lengths 2.850, 8.637, 14.789 Å; angles 90.00, 90.00, 90.00 degrees
Space group Fmm2 (No. 42)
One atom of each set of equivalent atoms:
1 Be 0.000 0.000 0.000 x4
2 Se 0.000 0.000 0.626 x4
3 Cl 0.000 0.000 0.404 x4

***

Entry 8:
Diffraction record for Pu4Ga2N. The X-ray powder pattern is computed, not measured: it uses a cell relaxed with PBE and Cu Kα.
No peak broadening, texture or thermal motion is included.

Largest 10 diffraction maxima, by angle, 10° ≤ 2θ ≤ 90°:
2theta  Rel. int.
11.93  20
26.12  28
29.39  93
35.76  13
36.26  100
38.20  57
53.74  35
55.13  20
63.70  22
67.80  42

Cell lengths 4.712, 4.712, 14.838 Å; angles 90.00, 90.00, 90.00 degrees
Space group I4/mmm (No. 139)
One atom of each set of equivalent atoms:
1 Pu 0.000 0.000 0.168 x4
2 Pu 0.000 0.500 0.000 x4
3 Ga 0.000 0.000 0.369 x4
4 N 0.000 0.000 0.000 x2

***

Entry 9:
Diffraction record for Ce12Ga6N. The X-ray powder pattern is computed, not measured: it uses a cell relaxed with PBE and Cu Kα.
No peak broadening, texture or thermal motion is included.

Largest 10 diffraction maxima, by angle, 10° ≤ 2θ ≤ 90°:
2theta  Rel. int.
24.53  37
26.21  33
27.47  46
29.72  43
30.90  42
32.99  100
34.29  36
35.28  50
37.11  61
37.74  98

Cell lengths 11.5760, 11.5760, 12.6056 Å; angles 90.00, 90.00, 120.00 degrees
Space group R-3 (No. 148, hexagonal axes)
One atom of each set of equivalent atoms:
1 Ce 0.0308 0.8364 0.4287 x18
2 Ce 0.0536 0.1714 0.8633 x18
3 Ga 0.0104 0.6124 0.2980 x18
4 N 0.0000 0.0000 0.0000 x3

***

Entry 10:
Diffraction record for DyTmSeN. The X-ray powder pattern is computed, not measured: it uses a cell relaxed with PBE and Cu Kα.
No peak broadening, texture or thermal motion is included.

Largest 10 diffraction maxima, by angle, 10° ≤ 2θ ≤ 90°:
2theta  Rel. int.
29.83  47
33.95  100
36.77  29
41.95  14
47.34  24
50.18  38
61.97  17
67.41  21
69.79  13
83.66  15

Cell lengths 3.6363, 3.6363, 19.3828 Å; angles 90.00, 90.00, 120.00 degrees
Space group R3m (No. 160, hexagonal axes)
One atom of each set of equivalent atoms:
1 Dy 0.0000 0.0000 0.0000 x3
2 Tm 0.0000 0.0000 0.5347 x3
3 Se 0.0000 0.0000 0.7686 x3
4 N 0.0000 0.0000 0.2645 x3

***

Entry 11:
Diffraction record for PrThIn. The X-ray powder pattern is computed, not measured: it uses a cell relaxed with PBE and Cu Kα.
No peak broadening, texture or thermal motion is included.

Largest 10 diffraction maxima, by angle, 10° ≤ 2θ ≤ 90°:
2theta  Rel. int.
31.26  100
33.68  18
35.89  18
39.00  14
50.04  12
54.04  11
58.73  12
61.63  14
65.20  11
65.85  12

Cell lengths 4.619, 15.965, 5.005 Å; angles 90.00, 90.00, 90.00 degrees
Space group Cmcm (No. 63)
One atom of each set of equivalent atoms:
1 Pr 0.000 0.238 0.250 x4
2 Th 0.000 0.072 0.750 x4
3 In 0.000 0.410 0.750 x4

***

Entry 12:
Diffraction record for Eu3PuO. The X-ray powder pattern is computed, not measured: it uses a cell relaxed with PBE and Cu Kα.
No peak broadening, texture or thermal motion is included.

Largest 10 diffraction maxima, by angle, 10° ≤ 2θ ≤ 90°:
2theta  Rel. int.
24.37  5
29.96  100
34.73  56
42.88  2
49.93  40
59.33  45
62.25  14
73.29  6
81.15  19
83.72  19

Cell lengths 5.166, 5.166, 5.166 Å; angles 90.00, 90.00, 90.00 degrees
Space group Pm-3m (No. 221)
One atom of each set of equivalent atoms:
1 Eu 0.000 0.000 0.500 x3
2 Pu 0.500 0.500 0.500 x1
3 O 0.000 0.000 0.000 x1

***

Entry 13:
Diffraction record for Ca11Ag9Au4. The X-ray powder pattern is computed, not measured: it uses a cell relaxed with PBE and Cu Kα.
No peak broadening, texture or thermal motion is included.

Largest 10 diffraction maxima, by angle, 10° ≤ 2θ ≤ 90°:
2theta  Rel. int.
23.65  69
24.02  33
24.66  31
33.96  100
34.43  95
34.69  93
36.51  31
42.42  37
48.41  33
60.91  34

Cell lengths 14.821, 21.662, 3.761 Å; angles 90.00, 90.00, 90.00 degrees
Space group Cmmm (No. 65)
One atom of each set of equivalent atoms:
1 Ca 0.000 0.000 0.000 x2
2 Ca 0.000 0.168 0.000 x4
3 Ca 0.000 0.364 0.000 x4
4 Ca 0.211 0.500 0.000 x4
5 Ca 0.238 0.171 0.000 x8
6 Ag 0.000 0.500 0.500 x2
7 Ag 0.106 0.263 0.500 x8
8 Ag 0.138 0.073 0.500 x8
9 Au 0.150 0.401 0.500 x8